Diffraction record for Sr2Al2SiO7. The X-ray diffraction stick pattern is theoretical, not measured: it uses a cell relaxed with GGA-PBE and Cu Ka.

Structure:
```
data_Sr2Al2SiO7
_chemical_formula_sum 'Sr4 Al4 Si2 O14'
_symmetry_space_group_name_H-M 'P 1'
_symmetry_Int_Tables_number 1
_cell_length_a 5.3279
_cell_length_b 7.9126
_cell_length_c 7.9272
_cell_angle_alpha 90.00
_cell_angle_beta 90.07
_cell_angle_gamma 90.00
loop_
_symmetry_equiv_pos_as_xyz
'x,y,z'
loop_
_atom_site_label
_atom_site_type_symbol
_atom_site_fract_x
_atom_site_fract_y
_atom_site_fract_z
_atom_site_occupancy
Sr1 Sr 0.0098 0.0000 0.0978 1
Sr2 Sr 0.0131 0.6754 0.4217 1
Sr3 Sr 0.9869 0.1754 0.5783 1
Sr4 Sr 0.9902 0.5000 0.9022 1
Al1 Al 0.4662 0.4774 0.6078 1
Al2 Al 0.4999 0.3352 0.2500 1
Al3 Al 0.5001 0.8352 0.7500 1
Al4 Al 0.5338 0.9774 0.3922 1
Si1 Si 0.4600 0.1937 0.8920 1
Si2 Si 0.5400 0.6937 0.1080 1
O1 O 0.2094 0.9764 0.3873 1
O2 O 0.2366 0.6934 0.1044 1
O3 O 0.3119 0.6678 0.6733 1
O4 O 0.3149 0.4180 0.4150 1
O5 O 0.3257 0.2491 0.0739 1
O6 O 0.3287 0.0092 0.8415 1
O7 O 0.3378 0.3280 0.7545 1
O8 O 0.6622 0.8280 0.2455 1
O9 O 0.6713 0.5092 0.1585 1
O10 O 0.6743 0.7491 0.9261 1
O11 O 0.6851 0.9180 0.5850 1
O12 O 0.6881 0.1678 0.3267 1
O13 O 0.7634 0.1934 0.8956 1
O14 O 0.7906 0.4764 0.6127 1
```

Main lines, in order of rising 2θ (2θ from 10° to 90°):
d/Å  2theta  I_rel
3.860  23.04  14
3.178  28.08  21
2.950  30.30  100
2.504  35.86  16
2.129  42.46  20
1.867  48.78  11
1.825  49.98  19
1.588  58.10  14



Diffraction record for Sr10Al4Si6O. The X-ray diffraction stick pattern is theoretical, not measured: it uses a cell relaxed with GGA-PBE and Cu Ka.

Structure:
```
data_Sr10Al4Si6O
_chemical_formula_sum 'Sr10 Al4 Si6 O1'
_symmetry_space_group_name_H-M 'P 1'
_symmetry_Int_Tables_number 1
_cell_length_a 11.6623
_cell_length_b 11.6623
_cell_length_c 11.6623
_cell_angle_alpha 156.06
_cell_angle_beta 110.12
_cell_angle_gamma 75.05
loop_
_symmetry_equiv_pos_as_xyz
'x,y,z'
loop_
_atom_site_label
_atom_site_type_symbol
_atom_site_fract_x
_atom_site_fract_y
_atom_site_fract_z
_atom_site_occupancy
Sr1 Sr 0.0000 0.0000 0.0000 1
Sr2 Sr 0.0301 0.1932 0.8370 1
Sr3 Sr 0.3129 0.0000 0.3129 1
Sr4 Sr 0.3436 0.8436 0.5000 1
Sr5 Sr 0.3562 0.1932 0.1630 1
Sr6 Sr 0.5000 0.5000 0.0000 1
Sr7 Sr 0.6438 0.8068 0.8370 1
Sr8 Sr 0.6564 0.1564 0.5000 1
Sr9 Sr 0.6871 0.0000 0.6871 1
Sr10 Sr 0.9699 0.8068 0.1630 1
Al1 Al 0.0868 0.4294 0.6574 1
Al2 Al 0.2281 0.5706 0.6574 1
Al3 Al 0.7719 0.4294 0.3426 1
Al4 Al 0.9132 0.5706 0.3426 1
Si1 Si 0.1456 0.6456 0.5000 1
Si2 Si 0.1900 0.3682 0.8218 1
Si3 Si 0.4536 0.6318 0.8218 1
Si4 Si 0.5464 0.3682 0.1782 1
Si5 Si 0.8100 0.6318 0.1782 1
Si6 Si 0.8544 0.3544 0.5000 1
O1 O 0.5000 0.0000 0.5000 1
```

Main lines, in order of rising 2θ (2θ from 10° to 90°):
d/Å  2theta  I_rel
3.610  24.66  23
3.087  28.92  100
2.939  30.42  32
2.673  33.52  29
2.418  37.18  26
2.226  40.52  18
1.638  56.15  13
1.496  62.06  13